Entry 1:
This entry pairs a crystal structure of Mg3V2O8 with its computed PXRD pattern. Radiation: λ = 1.5418 Å (Cu Kα). Structure: the PBE+U geometry in the Materials Project.
Peak positions follow from Bragg's law for the DFT cell and can differ from measured ones.

Cell and atoms:
abc: 6.567 6.567 8.424
angles: 90.00 90.00 124.39
Atoms (fractional coordinates):
1 Mg 0.000 0.000 0.000
2 Mg 0.114 0.386 0.250
3 Mg 0.386 0.114 0.750
4 Mg 0.500 0.500 0.500
5 Mg 0.614 0.886 0.250
6 Mg 0.886 0.614 0.750
7 V 0.120 0.880 0.380
8 V 0.380 0.620 0.880
9 V 0.620 0.380 0.120
10 V 0.880 0.120 0.620
11 O 0.003 0.997 0.755
12 O 0.112 0.346 0.500
13 O 0.154 0.388 0.000
14 O 0.249 0.751 0.275
15 O 0.251 0.749 0.775
16 O 0.346 0.112 0.500
17 O 0.388 0.154 0.000
18 O 0.497 0.503 0.255
19 O 0.503 0.497 0.745
20 O 0.612 0.846 0.000
21 O 0.654 0.888 0.500
22 O 0.749 0.251 0.225
23 O 0.751 0.249 0.725
24 O 0.846 0.612 0.000
25 O 0.888 0.654 0.500
26 O 0.997 0.003 0.245

The 10 most intense peaks (2θ from 5° to 70°), by angle:
| two_theta | d (Å) | I (rel.) |
| --- | --- | --- |
| 19.48 | 4.557 | 28 |
| 26.81 | 3.325 | 69 |
| 29.27 | 3.051 | 54 |
| 30.79 | 2.904 | 28 |
| 34.76 | 2.581 | 100 |
| 35.51 | 2.528 | 42 |
| 42.96 | 2.105 | 46 |
| 57.32 | 1.607 | 24 |
| 60.44 | 1.532 | 19 |
| 62.33 | 1.490 | 66 |

---

Entry 2:
This entry pairs a crystal structure of MgV5O12 with its computed PXRD pattern. Radiation: λ = 1.5418 Å (Cu Kα). Structure: the PBE+U geometry in the Materials Project.
Peak positions follow from Bragg's law for the DFT cell and can differ from measured ones.

Cell and atoms:
abc: 5.017 5.124 9.140
angles: 93.83 90.44 109.74
Atoms (fractional coordinates):
1 Mg 0.000 0.000 0.000
2 V 0.014 0.447 0.243
3 V 0.146 0.902 0.448
4 V 0.172 0.252 0.708
5 V 0.571 0.901 0.742
6 V 0.620 0.375 0.000
7 O 0.106 0.154 0.349
8 O 0.248 0.578 0.644
9 O 0.322 0.362 0.097
10 O 0.326 0.069 0.856
11 O 0.332 0.739 0.328
12 O 0.422 0.097 0.585
13 O 0.628 0.666 0.863
14 O 0.759 0.156 0.134
15 O 0.835 0.554 0.383
16 O 0.861 0.223 0.846
17 O 0.889 0.949 0.607
18 O 0.947 0.653 0.096

The 10 most intense peaks (2θ from 5° to 70°), by angle:
| two_theta | d (Å) | I (rel.) |
| --- | --- | --- |
| 9.70 | 9.115 | 18 |
| 20.23 | 4.389 | 83 |
| 20.91 | 4.248 | 100 |
| 23.90 | 3.723 | 22 |
| 28.60 | 3.121 | 59 |
| 29.65 | 3.013 | 33 |
| 37.73 | 2.385 | 59 |
| 45.41 | 1.997 | 38 |
| 47.46 | 1.916 | 40 |
| 59.29 | 1.559 | 16 |

---

Entry 3:
This entry pairs a crystal structure of Mg2V2O5 with its computed PXRD pattern. Radiation: λ = 1.5418 Å (Cu Kα). Structure: the PBE+U geometry in the Materials Project.
Peak positions follow from Bragg's law for the DFT cell and can differ from measured ones.

Cell and atoms:
abc: 3.509 5.819 10.843
angles: 90.00 90.00 90.00
Atoms (fractional coordinates):
1 Mg 0.000 0.059 0.000
2 Mg 0.000 0.438 0.792
3 Mg 0.000 0.562 0.292
4 Mg 0.000 0.941 0.500
5 V 0.500 0.018 0.262
6 V 0.500 0.482 0.531
7 V 0.500 0.518 0.031
8 V 0.500 0.982 0.762
9 O 0.000 0.085 0.814
10 O 0.000 0.412 0.978
11 O 0.000 0.588 0.478
12 O 0.000 0.915 0.314
13 O 0.500 0.122 0.094
14 O 0.500 0.243 0.400
15 O 0.500 0.379 0.699
16 O 0.500 0.621 0.199
17 O 0.500 0.757 0.900
18 O 0.500 0.878 0.594

The 10 most intense peaks (2θ from 5° to 70°), by angle:
| two_theta | d (Å) | I (rel.) |
| --- | --- | --- |
| 22.41 | 3.966 | 56 |
| 25.38 | 3.509 | 22 |
| 30.73 | 2.909 | 55 |
| 30.88 | 2.896 | 27 |
| 33.05 | 2.711 | 43 |
| 34.11 | 2.628 | 100 |
| 45.75 | 1.983 | 41 |
| 52.13 | 1.755 | 31 |
| 56.83 | 1.620 | 30 |
| 59.71 | 1.549 | 34 |

---

Entry 4:
This entry pairs a crystal structure of MgVO2 with its computed PXRD pattern. Radiation: λ = 1.5418 Å (Cu Kα). Structure: the PBE+U geometry in the Materials Project.
Peak positions follow from Bragg's law for the DFT cell and can differ from measured ones.

Cell and atoms:
abc: 7.919 7.919 10.379
angles: 130.20 130.20 21.69
Atoms (fractional coordinates):
1 Mg 0.019 0.019 0.375
2 Mg 0.322 0.322 0.296
3 Mg 0.678 0.678 0.704
4 Mg 0.981 0.981 0.625
5 V 0.160 0.160 0.319
6 V 0.360 0.360 0.035
7 V 0.640 0.640 0.965
8 V 0.840 0.840 0.681
9 O 0.153 0.153 0.107
10 O 0.159 0.159 0.834
11 O 0.204 0.204 0.576
12 O 0.462 0.462 0.745
13 O 0.538 0.538 0.255
14 O 0.796 0.796 0.424
15 O 0.841 0.841 0.166
16 O 0.847 0.847 0.893

The 10 most intense peaks (2θ from 5° to 70°), by angle:
| two_theta | d (Å) | I (rel.) |
| --- | --- | --- |
| 15.11 | 5.862 | 34 |
| 17.09 | 5.189 | 42 |
| 30.50 | 2.931 | 24 |
| 34.39 | 2.608 | 36 |
| 34.82 | 2.576 | 100 |
| 39.93 | 2.258 | 40 |
| 46.48 | 1.954 | 33 |
| 47.16 | 1.927 | 65 |
| 52.91 | 1.730 | 53 |
| 61.41 | 1.510 | 46 |

---

Entry 5:
This entry pairs a crystal structure of MgV6O15 with its computed PXRD pattern. Radiation: λ = 1.5418 Å (Cu Kα). Structure: the PBE+U geometry in the Materials Project.
Peak positions follow from Bragg's law for the DFT cell and can differ from measured ones.

Cell and atoms:
abc: 7.977 7.977 10.400
angles: 108.55 108.55 26.91
Atoms (fractional coordinates):
1 Mg 0.000 0.000 0.000
2 V 0.086 0.086 0.568
3 V 0.155 0.155 0.273
4 V 0.306 0.306 0.566
5 V 0.544 0.544 0.778
6 V 0.719 0.719 0.090
7 V 0.762 0.762 0.781
8 O 0.041 0.041 0.199
9 O 0.057 0.057 0.745
10 O 0.162 0.162 0.467
11 O 0.184 0.184 0.092
12 O 0.246 0.246 0.737
13 O 0.308 0.308 0.408
14 O 0.422 0.422 0.667
15 O 0.533 0.533 0.945
16 O 0.608 0.608 0.630
17 O 0.687 0.687 0.253
18 O 0.691 0.691 0.895
19 O 0.787 0.787 0.608
20 O 0.828 0.828 0.140
21 O 0.866 0.866 0.893
22 O 0.987 0.987 0.456

The 10 most intense peaks (2θ from 5° to 70°), by angle:
| two_theta | d (Å) | I (rel.) |
| --- | --- | --- |
| 9.00 | 9.828 | 68 |
| 12.07 | 7.331 | 100 |
| 25.67 | 3.471 | 83 |
| 28.64 | 3.117 | 45 |
| 30.06 | 2.973 | 27 |
| 32.10 | 2.789 | 31 |
| 34.50 | 2.600 | 18 |
| 40.86 | 2.208 | 23 |
| 49.08 | 1.856 | 36 |
| 60.35 | 1.534 | 25 |

---

Entry 6:
This entry pairs a crystal structure of Mg2V3O8 with its computed PXRD pattern. Radiation: λ = 1.5418 Å (Cu Kα). Structure: the PBE+U geometry in the Materials Project.
Peak positions follow from Bragg's law for the DFT cell and can differ from measured ones.

Cell and atoms:
abc: 4.924 5.949 9.862
angles: 89.92 83.30 89.98
Atoms (fractional coordinates):
1 Mg 0.000 0.000 0.000
2 Mg 0.131 0.001 0.552
3 Mg 0.491 0.496 0.500
4 Mg 0.641 0.496 0.051
5 V 0.064 0.755 0.276
6 V 0.065 0.500 0.776
7 V 0.067 0.281 0.275
8 V 0.565 0.766 0.776
9 V 0.566 0.232 0.776
10 V 0.566 0.998 0.276
11 O 0.238 0.005 0.168
12 O 0.256 0.485 0.171
13 O 0.288 0.725 0.659
14 O 0.289 0.274 0.659
15 O 0.344 0.225 0.390
16 O 0.349 0.759 0.389
17 O 0.359 0.499 0.883
18 O 0.379 0.999 0.880
19 O 0.752 0.000 0.671
20 O 0.772 0.499 0.669
21 O 0.783 0.759 0.162
22 O 0.786 0.225 0.162
23 O 0.842 0.274 0.893
24 O 0.843 0.725 0.893
25 O 0.875 0.484 0.381
26 O 0.892 0.004 0.385

The 10 most intense peaks (2θ from 5° to 70°), by angle:
| two_theta | d (Å) | I (rel.) |
| --- | --- | --- |
| 17.44 | 5.085 | 21 |
| 18.11 | 4.898 | 100 |
| 21.23 | 4.184 | 27 |
| 28.51 | 3.131 | 44 |
| 31.16 | 2.870 | 45 |
| 37.08 | 2.424 | 63 |
| 39.22 | 2.297 | 25 |
| 46.60 | 1.949 | 62 |
| 49.52 | 1.841 | 28 |
| 57.64 | 1.599 | 32 |

---

Entry 7:
This entry pairs a crystal structure of MgV5O12 with its computed PXRD pattern. Radiation: λ = 1.5418 Å (Cu Kα). Structure: the PBE+U geometry in the Materials Project.
Peak positions follow from Bragg's law for the DFT cell and can differ from measured ones.

Cell and atoms:
abc: 5.031 5.100 8.979
angles: 94.83 91.14 112.14
Atoms (fractional coordinates):
1 Mg 0.000 0.000 0.000
2 V 0.208 0.119 0.673
3 V 0.294 0.602 0.953
4 V 0.678 0.540 0.199
5 V 0.779 0.999 0.423
6 V 0.843 0.484 0.700
7 O 0.051 0.338 0.556
8 O 0.145 0.812 0.815
9 O 0.360 0.330 0.083
10 O 0.482 0.706 0.344
11 O 0.517 0.126 0.581
12 O 0.529 0.483 0.793
13 O 0.590 0.869 0.044
14 O 0.719 0.303 0.307
15 O 0.883 0.809 0.573
16 O 0.967 0.606 0.069
17 O 0.992 0.943 0.290
18 O 0.993 0.258 0.831

The 10 most intense peaks (2θ from 5° to 70°), by angle:
| two_theta | d (Å) | I (rel.) |
| --- | --- | --- |
| 20.46 | 4.341 | 73 |
| 21.03 | 4.225 | 100 |
| 26.12 | 3.411 | 27 |
| 28.62 | 3.119 | 55 |
| 29.75 | 3.003 | 62 |
| 39.40 | 2.287 | 59 |
| 45.37 | 1.999 | 55 |
| 47.35 | 1.920 | 45 |
| 51.88 | 1.762 | 30 |
| 59.93 | 1.544 | 26 |

---

Entry 8:
This entry pairs a crystal structure of MgV2O6 with its computed PXRD pattern. Radiation: λ = 1.5418 Å (Cu Kα). Structure: the PBE+U geometry in the Materials Project.
Peak positions follow from Bragg's law for the DFT cell and can differ from measured ones.

Cell and atoms:
abc: 5.039 5.039 6.830
angles: 110.33 110.33 41.07
Atoms (fractional coordinates):
1 Mg 0.000 0.000 0.000
2 V 0.194 0.194 0.656
3 V 0.806 0.806 0.344
4 O 0.039 0.039 0.724
5 O 0.306 0.306 0.434
6 O 0.349 0.349 0.887
7 O 0.651 0.651 0.113
8 O 0.694 0.694 0.566
9 O 0.961 0.961 0.276

The 10 most intense peaks (2θ from 5° to 70°), by angle:
| two_theta | d (Å) | I (rel.) |
| --- | --- | --- |
| 13.96 | 6.342 | 55 |
| 20.26 | 4.382 | 45 |
| 27.20 | 3.278 | 47 |
| 27.95 | 3.192 | 84 |
| 28.74 | 3.106 | 100 |
| 28.87 | 3.092 | 96 |
| 32.44 | 2.760 | 61 |
| 40.44 | 2.231 | 31 |
| 51.72 | 1.767 | 43 |
| 60.66 | 1.527 | 36 |

---

Entry 9:
This entry pairs a crystal structure of MgV2O6 with its computed PXRD pattern. Radiation: λ = 1.5418 Å (Cu Kα). Structure: the PBE+U geometry in the Materials Project.
Peak positions follow from Bragg's law for the DFT cell and can differ from measured ones.

Cell and atoms:
abc: 5.645 5.482 5.482
angles: 56.57 90.00 90.00
Atoms (fractional coordinates):
1 Mg 0.000 0.000 0.000
2 V 0.500 0.123 0.123
3 V 0.500 0.494 0.494
4 O 0.000 0.799 0.799
5 O 0.286 0.297 0.821
6 O 0.286 0.821 0.297
7 O 0.500 0.310 0.310
8 O 0.714 0.297 0.821
9 O 0.714 0.821 0.297

The 10 most intense peaks (2θ from 5° to 70°), by angle:
| two_theta | d (Å) | I (rel.) |
| --- | --- | --- |
| 15.70 | 5.645 | 76 |
| 18.38 | 4.827 | 100 |
| 19.40 | 4.575 | 19 |
| 24.26 | 3.669 | 29 |
| 25.06 | 3.554 | 88 |
| 32.73 | 2.736 | 15 |
| 36.50 | 2.462 | 30 |
| 47.58 | 1.911 | 41 |
| 51.42 | 1.777 | 18 |
| 53.14 | 1.724 | 27 |

---

Entry 10:
This entry pairs a crystal structure of MgVZn2WO6 with its computed PXRD pattern. Radiation: λ = 1.5418 Å (Cu Kα). Structure: the PBE+U geometry in the Materials Project.
Peak positions follow from Bragg's law for the DFT cell and can differ from measured ones.

Cell and atoms:
abc: 5.956 5.956 5.956
angles: 52.62 52.62 52.62
Atoms (fractional coordinates):
1 Mg 0.000 0.000 0.000
2 V 0.815 0.815 0.815
3 Zn 0.165 0.165 0.165
4 Zn 0.584 0.584 0.584
5 W 0.345 0.345 0.345
6 O 0.066 0.768 0.414
7 O 0.210 0.594 0.944
8 O 0.414 0.066 0.768
9 O 0.594 0.944 0.210
10 O 0.768 0.414 0.066
11 O 0.944 0.210 0.594

The 10 most intense peaks (2θ from 5° to 70°), by angle:
| two_theta | d (Å) | I (rel.) |
| --- | --- | --- |
| 20.27 | 4.382 | 61 |
| 22.64 | 3.928 | 29 |
| 30.41 | 2.939 | 68 |
| 33.96 | 2.640 | 100 |
| 35.21 | 2.549 | 60 |
| 46.22 | 1.964 | 24 |
| 49.62 | 1.837 | 41 |
| 49.73 | 1.834 | 24 |
| 60.78 | 1.524 | 33 |
| 61.59 | 1.506 | 24 |

---

Entry 11:
This entry pairs a crystal structure of MgVZn2WO6 with its computed PXRD pattern. Radiation: λ = 1.5418 Å (Cu Kα). Structure: the PBE+U geometry in the Materials Project.
Peak positions follow from Bragg's law for the DFT cell and can differ from measured ones.

Cell and atoms:
abc: 5.333 5.577 5.753
angles: 66.68 72.68 61.53
Atoms (fractional coordinates):
1 Mg 0.000 0.000 0.000
2 V 0.677 0.627 0.013
3 Zn 0.351 0.593 0.740
4 Zn 0.698 0.054 0.517
5 W 0.043 0.405 0.438
6 O 0.317 0.585 0.126
7 O 0.340 0.994 0.689
8 O 0.726 0.280 0.727
9 O 0.740 0.788 0.212
10 O 0.930 0.229 0.221
11 O 0.982 0.645 0.694

The 10 most intense peaks (2θ from 5° to 70°), by angle:
| two_theta | d (Å) | I (rel.) |
| --- | --- | --- |
| 16.94 | 5.234 | 81 |
| 18.99 | 4.673 | 65 |
| 21.32 | 4.168 | 56 |
| 27.34 | 3.262 | 53 |
| 31.87 | 2.808 | 63 |
| 32.27 | 2.774 | 100 |
| 34.19 | 2.622 | 68 |
| 37.08 | 2.424 | 49 |
| 38.06 | 2.364 | 59 |
| 38.18 | 2.357 | 45 |

---

Entry 12:
This entry pairs a crystal structure of Y2MgV2O7 with its computed PXRD pattern. Radiation: λ = 1.5418 Å (Cu Kα). Structure: the PBE+U geometry in the Materials Project.
Peak positions follow from Bragg's law for the DFT cell and can differ from measured ones.

Cell and atoms:
abc: 5.935 5.935 5.478
angles: 96.96 96.96 113.95
Atoms (fractional coordinates):
1 Y 0.000 0.000 0.000
2 Y 0.647 0.353 0.000
3 Mg 0.526 0.474 0.500
4 V 0.055 0.426 0.615
5 V 0.574 0.945 0.385
6 O 0.282 0.291 0.771
7 O 0.329 0.671 0.500
8 O 0.387 0.136 0.248
9 O 0.709 0.718 0.229
10 O 0.766 0.119 0.728
11 O 0.864 0.613 0.752
12 O 0.881 0.234 0.272

The 10 most intense peaks (2θ from 5° to 70°), by angle:
| two_theta | d (Å) | I (rel.) |
| --- | --- | --- |
| 16.64 | 5.329 | 81 |
| 24.45 | 3.641 | 100 |
| 25.74 | 3.461 | 78 |
| 29.52 | 3.026 | 45 |
| 33.27 | 2.693 | 41 |
| 33.62 | 2.666 | 37 |
| 36.42 | 2.467 | 36 |
| 43.58 | 2.077 | 30 |
| 48.39 | 1.881 | 39 |
| 57.71 | 1.597 | 34 |